This entry pairs a crystal structure of Fe2Mo3O8 with its calculated X-ray diffraction stick pattern. Radiation: Cu Kα. Structure: a cell relaxed with PBE+U.

Cell: 6.3132 6.3132 9.4240 Å, 90.00 90.00 120.00°
Space group P6_3mc (No. 186)
Unique sites:
1 Fe 0.3333 0.6667 0.0000 (multiplicity 2)
2 Fe 0.3333 0.6667 0.3764 (multiplicity 2)
3 Mo 0.1647 0.3294 0.7050 (multiplicity 6)
4 O 0.0000 0.0000 0.3120 (multiplicity 2)
5 O 0.0239 0.5119 0.8435 (multiplicity 6)
6 O 0.1752 0.3503 0.1019 (multiplicity 6)
7 O 0.3333 0.6667 0.5812 (multiplicity 2)

Most intense lines, 10 to 80 degrees two-theta, low angle first:
4.715 Å, 18.82°, I 49, hkl 0 0 2; 3.569 Å, 24.95°, I 26, hkl 1 0 2; 2.734 Å, 32.76°, I 18, hkl 2 0 0; 2.724 Å, 32.88°, I 32, hkl 1 0 3; 2.624 Å, 34.16°, I 100, hkl 2 0 1; 2.365 Å, 38.06°, I 16, hkl 2 0 2; 2.062 Å, 43.90°, I 21, hkl 2 0 3; 1.726 Å, 53.04°, I 19, hkl 2 1 3; 1.578 Å, 58.48°, I 28, hkl 2 2 0; 1.552 Å, 59.58°, I 30, hkl 2 0 5